The following is a calculated powder X-ray diffraction pattern of Cr2Ni3B6. It was derived from a DFT-relaxed cell (PBE, Alexandria), using Cu Kα.
Lines closer than 0.1° are merged.

abc: 2.9684 10.1361 10.1361
angles: 16.76 90.00 90.00
Fractional coordinates of all 11 atoms:
Cr  0.0000  0.0000  0.0000
Cr  0.0000  0.3834  0.3834
Ni  0.0000  0.7650  0.7650
Ni  0.5000  0.1892  0.1892
Ni  0.5000  0.5832  0.5832
B  0.0000  0.1091  0.1091
B  0.0000  0.6598  0.6598
B  0.5000  0.2945  0.2945
B  0.5000  0.4745  0.4745
B  0.5000  0.8402  0.8402
B  0.5000  0.9266  0.9266

Most intense lines, 2θ = 10–80°, in order of rising 2θ:
d_spacing, intensity
2.846, 384
2.379, 878
2.006, 212
1.998, 1000
1.915, 585
1.259, 198

---

The following is a calculated powder X-ray diffraction pattern of CrNiB. It was derived from a DFT-relaxed cell (PBE, Alexandria), using Cu Kα.
Lines closer than 0.1° are merged.

abc: 6.5242 6.5242 2.9267
angles: 90.00 90.00 153.58
Fractional coordinates of all 6 atoms:
Cr  0.0877  0.9123  0.7500
Cr  0.9123  0.0877  0.2500
Ni  0.2983  0.7017  0.7500
Ni  0.7017  0.2983  0.2500
B  0.4624  0.5376  0.7500
B  0.5376  0.4624  0.2500

Most intense lines, 2θ = 10–80°, in order of rising 2θ:
d_spacing, intensity
6.352, 202
2.152, 654
2.061, 1000
1.934, 658
1.715, 199
1.226, 179

---

The following is a calculated powder X-ray diffraction pattern of Cr3NiB6. It was derived from a DFT-relaxed cell (PBE, Alexandria), using Cu Kα.
Lines closer than 0.1° are merged.

abc: 2.9518 9.0277 9.0277
angles: 19.08 90.00 90.00
Fractional coordinates of all 10 atoms:
Cr  0.0000  0.0000  0.0000
Cr  0.0000  0.2755  0.2755
Cr  0.5000  0.1432  0.1432
Ni  0.5000  0.8697  0.8697
B  0.0000  0.3975  0.3975
B  0.0000  0.5960  0.5960
B  0.0000  0.6931  0.6931
B  0.5000  0.4508  0.4508
B  0.5000  0.5474  0.5474
B  0.5000  0.7473  0.7473

Most intense lines, 2θ = 10–80°, in order of rising 2θ:
d_spacing, intensity
2.951, 389
2.460, 898
2.226, 277
1.981, 1000
1.938, 613
1.278, 188

---

The following is a calculated powder X-ray diffraction pattern of CrNiB. It was derived from a DFT-relaxed cell (PBE, Alexandria), using Cu Kα.
Lines closer than 0.1° are merged.

abc: 4.2412 4.2412 4.8779
angles: 90.86 90.86 40.34
Fractional coordinates of all 6 atoms:
Cr  0.0000  0.0000  0.0000
Cr  0.7114  0.7114  0.7872
Ni  0.0134  0.0134  0.4952
Ni  0.2936  0.2936  0.2785
B  0.4078  0.4078  0.7209
B  0.6228  0.6228  0.2494

Most intense lines, 2θ = 10–80°, in order of rising 2θ:
d_spacing, intensity
2.387, 599
2.094, 623
2.065, 663
1.965, 1000
1.828, 466
1.818, 560